Simulated X-ray diffraction stick pattern
Compound: NaNb3O8
Radiation: λ = 1.5418 Å (Cu Kα)
Structure: a structure optimized by DFT (PBE)
Lines closer than 0.1° are merged.

Peak list (10 most intense, 15° ≤ 2θ ≤ 90°, sorted by position)
two_theta	intensity	(hkl)
22.07	100	0 1 1
30.13	49	1 1 0
32.65	26	1 0 2
45.02	20	0 2 2
45.52	10	1 0 3
48.97	23	1 2 1
53.52	9	3 0 0
55.13	14	2 1 2
62.65	10	2 2 0
65.61	8	1 1 4

Cell and atoms:
abc: 5.931 5.931 6.487
angles: 90.00 90.00 120.00
Atoms (fractional coordinates):
Na: 0.000 0.000 0.000
Nb: 0.000 0.000 0.500
Nb: 0.333 0.667 0.774
Nb: 0.667 0.333 0.226
O: 0.156 0.311 0.686
O: 0.156 0.844 0.686
O: 0.311 0.156 0.314
O: 0.333 0.667 0.048
O: 0.667 0.333 0.952
O: 0.689 0.844 0.686
O: 0.844 0.156 0.314
O: 0.844 0.689 0.314